Diffraction record for SbTe. The powder X-ray diffraction pattern is theoretical, not measured: it uses a crystal structure in Alexandria, relaxed with GGA-PBE and Cu Kα (weighted mean of Kα1 and Kα2).
Neutral-atom scattering factors, no anomalous dispersion.

a b c (Å): 12.6689 12.6689 3.9161
angles (deg): 90.00 90.00 120.00
Fractional positions:
Sb1 0.0132 0.3467 0.2500
Sb2 0.3335 0.9868 0.2500
Sb3 0.3467 0.3335 0.7500
Sb4 0.6533 0.6665 0.2500
Sb5 0.6665 0.0132 0.7500
Sb6 0.9868 0.6533 0.7500
Te1 0.1444 0.6449 0.2500
Te2 0.3551 0.4996 0.2500
Te3 0.4996 0.1444 0.7500
Te4 0.5004 0.8556 0.2500
Te5 0.6449 0.5004 0.7500
Te6 0.8556 0.3551 0.7500

Most intense lines, 2θ = 10–80°, by angle:
- 2θ = 13.98°, intensity 33
- 2θ = 21.43°, intensity 26
- 2θ = 24.13°, intensity 36
- 2θ = 24.34°, intensity 21
- 2θ = 26.76°, intensity 23
- 2θ = 28.18°, intensity 33
- 2θ = 29.35°, intensity 28
- 2θ = 31.42°, intensity 28
- 2θ = 36.49°, intensity 100
- 2θ = 44.35°, intensity 19
- 2θ = 49.87°, intensity 22
- 2θ = 70.46°, intensity 15

---

Diffraction record for Sb3Te. The powder X-ray diffraction pattern is theoretical, not measured: it uses a crystal structure in Alexandria, relaxed with GGA-PBE and Cu Kα (weighted mean of Kα1 and Kα2).
Neutral-atom scattering factors, no anomalous dispersion.

a b c (Å): 3.2862 3.2862 10.8726
angles (deg): 90.00 90.00 109.67
Fractional positions:
Sb1 0.0000 0.0000 0.0000
Sb2 0.5000 0.5000 0.2433
Sb3 0.5000 0.5000 0.7567
Te1 0.0000 0.0000 0.5000

Most intense lines, 2θ = 10–80°, by angle:
- 2θ = 32.95°, intensity 20
- 2θ = 33.32°, intensity 100
- 2θ = 47.59°, intensity 14
- 2θ = 48.08°, intensity 7
- 2θ = 59.08°, intensity 15
- 2θ = 59.56°, intensity 22
- 2θ = 59.77°, intensity 7
- 2θ = 69.12°, intensity 2
- 2θ = 69.98°, intensity 11
- 2θ = 78.94°, intensity 3
- 2θ = 79.37°, intensity 6
- 2θ = 79.61°, intensity 3

---

Diffraction record for Sb4Te. The powder X-ray diffraction pattern is theoretical, not measured: it uses a crystal structure in Alexandria, relaxed with GGA-PBE and Cu Kα (weighted mean of Kα1 and Kα2).
Neutral-atom scattering factors, no anomalous dispersion.

a b c (Å): 6.4728 6.4728 6.4728
angles (deg): 95.51 95.51 143.91
Fractional positions:
Sb1 0.0000 0.3035 0.3035
Sb2 0.0000 0.6965 0.6965
Sb3 0.3035 0.0000 0.3035
Sb4 0.6965 0.0000 0.6965
Te1 0.5000 0.5000 0.0000

Most intense lines, 2θ = 10–80°, by angle:
- 2θ = 20.41°, intensity 16
- 2θ = 29.02°, intensity 14
- 2θ = 32.05°, intensity 100
- 2θ = 32.53°, intensity 19
- 2θ = 38.29°, intensity 21
- 2θ = 41.50°, intensity 14
- 2θ = 44.15°, intensity 19
- 2θ = 45.23°, intensity 11
- 2θ = 61.90°, intensity 29
- 2θ = 63.05°, intensity 8
- 2θ = 65.05°, intensity 12
- 2θ = 75.15°, intensity 8

---

Diffraction record for Sb2Te3. The powder X-ray diffraction pattern is theoretical, not measured: it uses a crystal structure in Alexandria, relaxed with GGA-PBE and Cu Kα (weighted mean of Kα1 and Kα2).
Neutral-atom scattering factors, no anomalous dispersion.

a b c (Å): 7.8848 7.8848 10.5783
angles (deg): 95.80 95.80 31.72
Fractional positions:
Sb1 0.1151 0.1151 0.4517
Sb2 0.3018 0.3018 0.8600
Sb3 0.6982 0.6982 0.1400
Sb4 0.8849 0.8849 0.5483
Te1 0.1230 0.1230 0.9616
Te2 0.2811 0.2811 0.3417
Te3 0.4709 0.4709 0.7118
Te4 0.5291 0.5291 0.2882
Te5 0.7189 0.7189 0.6583
Te6 0.8770 0.8770 0.0384

Most intense lines, 2θ = 10–80°, by angle:
- 2θ = 27.62°, intensity 52
- 2θ = 27.79°, intensity 100
- 2θ = 36.35°, intensity 37
- 2θ = 37.38°, intensity 16
- 2θ = 41.40°, intensity 7
- 2θ = 41.93°, intensity 19
- 2θ = 42.61°, intensity 33
- 2θ = 47.15°, intensity 8
- 2θ = 50.95°, intensity 19
- 2θ = 52.31°, intensity 7
- 2θ = 57.41°, intensity 9
- 2θ = 68.12°, intensity 9

---

Diffraction record for Th4Sb5Te. The powder X-ray diffraction pattern is theoretical, not measured: it uses a crystal structure in Alexandria, relaxed with GGA-PBE and Cu Kα (weighted mean of Kα1 and Kα2).
Neutral-atom scattering factors, no anomalous dispersion.

a b c (Å): 8.6363 8.6363 8.0709
angles (deg): 90.48 90.48 33.83
Fractional positions:
Th1 0.0056 0.0056 0.2518
Th2 0.2950 0.2950 0.2574
Th3 0.7050 0.7050 0.7426
Th4 0.9944 0.9944 0.7482
Sb1 0.1571 0.1571 0.5144
Sb2 0.1569 0.1569 0.9874
Sb3 0.5000 0.5000 0.0000
Sb4 0.8431 0.8431 0.0126
Sb5 0.8429 0.8429 0.4856
Te1 0.5000 0.5000 0.5000

Most intense lines, 2θ = 10–80°, by angle:
- 2θ = 18.45°, intensity 21
- 2θ = 21.51°, intensity 59
- 2θ = 32.51°, intensity 33
- 2θ = 32.68°, intensity 95
- 2θ = 32.88°, intensity 100
- 2θ = 35.73°, intensity 46
- 2θ = 38.34°, intensity 17
- 2θ = 42.30°, intensity 22
- 2θ = 44.93°, intensity 23
- 2θ = 49.08°, intensity 20
- 2θ = 58.68°, intensity 22
- 2θ = 62.39°, intensity 16

---

Diffraction record for Th2SbTe. The powder X-ray diffraction pattern is theoretical, not measured: it uses a crystal structure in Alexandria, relaxed with GGA-PBE and Cu Kα (weighted mean of Kα1 and Kα2).
Neutral-atom scattering factors, no anomalous dispersion.

a b c (Å): 5.4504 5.4504 5.4504
angles (deg): 60.00 60.00 60.00
Fractional positions:
Th1 0.2500 0.2500 0.2500
Th2 0.7500 0.7500 0.7500
Sb1 0.0000 0.0000 0.0000
Te1 0.5000 0.5000 0.5000

Most intense lines, 2θ = 10–80°, by angle:
- 2θ = 23.08°, intensity 10
- 2θ = 32.87°, intensity 100
- 2θ = 40.54°, intensity 3
- 2θ = 47.16°, intensity 18
- 2θ = 53.14°, intensity 5
- 2θ = 58.68°, intensity 39
- 2θ = 68.91°, intensity 12
- 2θ = 73.75°, intensity 2
- 2θ = 78.48°, intensity 17

---

Diffraction record for Th2Sb2Te. The powder X-ray diffraction pattern is theoretical, not measured: it uses a crystal structure in Alexandria, relaxed with GGA-PBE and Cu Kα (weighted mean of Kα1 and Kα2).
Neutral-atom scattering factors, no anomalous dispersion.

a b c (Å): 7.9846 7.9846 7.9846
angles (deg): 147.02 133.94 57.81
Fractional positions:
Th1 0.1655 0.1655 0.0000
Th2 0.8345 0.8345 0.0000
Sb1 0.3208 0.8208 0.5000
Sb2 0.6792 0.1792 0.5000
Te1 0.0000 0.5000 0.5000

Most intense lines, 2θ = 10–80°, by angle:
- 2θ = 12.66°, intensity 25
- 2θ = 15.54°, intensity 32
- 2θ = 27.45°, intensity 100
- 2θ = 28.58°, intensity 41
- 2θ = 35.48°, intensity 20
- 2θ = 38.64°, intensity 19
- 2θ = 39.77°, intensity 17
- 2θ = 40.04°, intensity 66
- 2θ = 48.76°, intensity 18
- 2θ = 49.70°, intensity 18
- 2θ = 64.67°, intensity 17
- 2θ = 72.36°, intensity 17

---

Diffraction record for Th3Sb2Te. The powder X-ray diffraction pattern is theoretical, not measured: it uses a crystal structure in Alexandria, relaxed with GGA-PBE and Cu Kα (weighted mean of Kα1 and Kα2).
Neutral-atom scattering factors, no anomalous dispersion.

a b c (Å): 10.0426 10.0426 6.3600
angles (deg): 90.00 90.00 143.07
Fractional positions:
Th1 0.0000 0.0000 0.0000
Th2 0.1656 0.8344 0.5000
Th3 0.3331 0.6669 0.0000
Th4 0.5000 0.5000 0.5000
Th5 0.6669 0.3331 0.0000
Th6 0.8344 0.1656 0.5000
Sb1 0.0000 0.0000 0.5000
Sb2 0.1666 0.8334 0.0000
Sb3 0.5000 0.5000 0.0000
Sb4 0.8334 0.1666 0.0000
Te1 0.3333 0.6667 0.5000
Te2 0.6667 0.3333 0.5000

Most intense lines, 2θ = 10–80°, by angle:
- 2θ = 24.25°, intensity 16
- 2θ = 28.07°, intensity 100
- 2θ = 40.12°, intensity 78
- 2θ = 47.43°, intensity 9
- 2θ = 49.68°, intensity 28
- 2θ = 58.00°, intensity 9
- 2θ = 58.10°, intensity 4
- 2θ = 63.82°, intensity 4
- 2θ = 65.68°, intensity 37
- 2θ = 72.90°, intensity 27
- 2θ = 78.09°, intensity 2
- 2θ = 78.21°, intensity 1

---

Diffraction record for Tl3Sb2Te4. The powder X-ray diffraction pattern is theoretical, not measured: it uses a crystal structure in Alexandria, relaxed with GGA-PBE and Cu Kα (weighted mean of Kα1 and Kα2).
Neutral-atom scattering factors, no anomalous dispersion.

a b c (Å): 8.9564 8.9564 11.7093
angles (deg): 95.36 95.36 44.15
Fractional positions:
Tl1 0.0291 0.9709 0.7500
Tl2 0.3080 0.4658 0.2635
Tl3 0.4658 0.3080 0.7635
Tl4 0.5342 0.6920 0.2365
Tl5 0.6920 0.5342 0.7365
Tl6 0.9709 0.0291 0.2500
Sb1 0.1199 0.2813 0.0381
Sb2 0.2813 0.1199 0.5381
Sb3 0.7187 0.8801 0.4619
Sb4 0.8801 0.7187 0.9619
Te1 0.0604 0.3375 0.3301
Te2 0.2352 0.6668 0.9826
Te3 0.3332 0.7648 0.5174
Te4 0.3375 0.0604 0.8301
Te5 0.6625 0.9396 0.1699
Te6 0.6668 0.2352 0.4826
Te7 0.7648 0.3332 0.0174
Te8 0.9396 0.6625 0.6699

Most intense lines, 2θ = 10–80°, by angle:
- 2θ = 15.21°, intensity 18
- 2θ = 24.91°, intensity 49
- 2θ = 26.87°, intensity 29
- 2θ = 27.56°, intensity 100
- 2θ = 30.14°, intensity 84
- 2θ = 30.69°, intensity 59
- 2θ = 31.81°, intensity 40
- 2θ = 32.05°, intensity 18
- 2θ = 33.11°, intensity 27
- 2θ = 40.41°, intensity 28
- 2θ = 49.28°, intensity 25
- 2θ = 50.08°, intensity 18

---

Diffraction record for Tl4SbTe4. The powder X-ray diffraction pattern is theoretical, not measured: it uses a crystal structure in Alexandria, relaxed with GGA-PBE and Cu Kα (weighted mean of Kα1 and Kα2).
Neutral-atom scattering factors, no anomalous dispersion.

a b c (Å): 8.0682 8.0682 8.0682
angles (deg): 119.27 119.27 91.27
Fractional positions:
Tl1 0.0000 0.5000 0.5000
Tl2 0.1535 0.1535 0.0000
Tl3 0.5000 0.0000 0.5000
Tl4 0.8465 0.8465 0.0000
Sb1 0.5000 0.5000 0.0000
Te1 0.1443 0.5598 0.0000
Te2 0.4402 0.4402 0.5845
Te3 0.5598 0.1443 0.0000
Te4 0.8557 0.8557 0.4155

Most intense lines, 2θ = 10–80°, by angle:
- 2θ = 21.79°, intensity 32
- 2θ = 22.04°, intensity 100
- 2θ = 25.67°, intensity 25
- 2θ = 26.09°, intensity 26
- 2θ = 26.98°, intensity 41
- 2θ = 31.01°, intensity 93
- 2θ = 34.24°, intensity 66
- 2θ = 35.42°, intensity 34
- 2θ = 38.37°, intensity 33
- 2θ = 40.96°, intensity 37
- 2θ = 44.42°, intensity 28
- 2θ = 58.60°, intensity 25

---

Diffraction record for Tl8SbTe6. The powder X-ray diffraction pattern is theoretical, not measured: it uses a crystal structure in Alexandria, relaxed with GGA-PBE and Cu Kα (weighted mean of Kα1 and Kα2).
Neutral-atom scattering factors, no anomalous dispersion.

a b c (Å): 9.3893 11.5159 10.3336
angles (deg): 90.00 90.00 90.00
Fractional positions:
Tl1 0.0000 0.2492 0.1628
Tl2 0.0000 0.2504 0.4874
Tl3 0.2016 0.7503 0.5000
Tl4 0.2454 0.5267 0.7572
Tl5 0.2451 0.9737 0.7563
Tl6 0.2549 0.0263 0.2563
Tl7 0.2546 0.4733 0.2572
Tl8 0.2984 0.2497 0.0000
Tl9 0.5000 0.7496 0.9874
Tl10 0.5000 0.7508 0.6628
Tl11 0.7016 0.2497 0.0000
Tl12 0.7451 0.0263 0.2563
Tl13 0.7454 0.4733 0.2572
Tl14 0.7546 0.5267 0.7572
Tl15 0.7549 0.9737 0.7563
Tl16 0.7984 0.7503 0.5000
Sb1 0.0000 0.7496 0.0223
Sb2 0.5000 0.2504 0.5223
Te1 0.0000 0.0198 0.9782
Te2 0.0000 0.4793 0.9789
Te3 0.0000 0.5302 0.4875
Te4 0.0000 0.9706 0.4862
Te5 0.2375 0.7497 0.1909
Te6 0.2625 0.2503 0.6909
Te7 0.5000 0.0294 0.9862
Te8 0.5000 0.4698 0.9875
Te9 0.5000 0.5207 0.4789
Te10 0.5000 0.9802 0.4782
Te11 0.7375 0.2503 0.6909
Te12 0.7625 0.7497 0.1909

Most intense lines, 2θ = 10–80°, by angle:
- 2θ = 22.18°, intensity 31
- 2θ = 23.13°, intensity 55
- 2θ = 25.64°, intensity 100
- 2θ = 30.04°, intensity 94
- 2θ = 31.06°, intensity 80
- 2θ = 31.32°, intensity 73
- 2θ = 33.18°, intensity 55
- 2θ = 34.72°, intensity 45
- 2θ = 38.35°, intensity 45
- 2θ = 40.08°, intensity 63
- 2θ = 40.70°, intensity 38
- 2θ = 50.14°, intensity 34

---

Diffraction record for Tl8Sb2Te. The powder X-ray diffraction pattern is theoretical, not measured: it uses a crystal structure in Alexandria, relaxed with GGA-PBE and Cu Kα (weighted mean of Kα1 and Kα2).
Neutral-atom scattering factors, no anomalous dispersion.

a b c (Å): 6.4464 7.8068 8.8851
angles (deg): 110.94 109.73 98.12
Fractional positions:
Tl1 0.0000 0.0000 0.0000
Tl2 0.0051 0.5903 0.6650
Tl3 0.0175 0.7092 0.2199
Tl4 0.2937 0.2669 0.4444
Tl5 0.3213 0.4170 0.0363
Tl6 0.5257 0.7747 0.5423
Tl7 0.5833 0.9550 0.2415
Tl8 0.6728 0.2399 0.8146
Sb1 0.5573 0.6369 0.8521
Sb2 0.7940 0.3347 0.2346
Te1 0.0908 0.0084 0.6282

Most intense lines, 2θ = 10–80°, by angle:
- 2θ = 28.34°, intensity 45
- 2θ = 29.28°, intensity 100
- 2θ = 29.67°, intensity 71
- 2θ = 29.83°, intensity 42
- 2θ = 30.01°, intensity 28
- 2θ = 30.23°, intensity 44
- 2θ = 30.82°, intensity 42
- 2θ = 32.23°, intensity 27
- 2θ = 32.37°, intensity 38
- 2θ = 33.38°, intensity 29
- 2θ = 33.75°, intensity 34
- 2θ = 35.74°, intensity 31

---

Diffraction record for Tl2Sb3Te8. The powder X-ray diffraction pattern is theoretical, not measured: it uses a crystal structure in Alexandria, relaxed with GGA-PBE and Cu Kα (weighted mean of Kα1 and Kα2).
Neutral-atom scattering factors, no anomalous dispersion.

a b c (Å): 8.6251 8.6251 7.7485
angles (deg): 110.53 110.53 61.56
Fractional positions:
Tl1 0.1452 0.1452 0.1417
Tl2 0.8548 0.8548 0.8583
Sb1 0.2524 0.7476 0.5000
Sb2 0.5000 0.5000 0.0000
Sb3 0.7476 0.2524 0.5000
Te1 0.1329 0.1329 0.7475
Te2 0.1545 0.5415 0.6811
Te3 0.3746 0.3746 0.2298
Te4 0.4585 0.8455 0.3189
Te5 0.5415 0.1545 0.6811
Te6 0.6254 0.6254 0.7702
Te7 0.8455 0.4585 0.3189
Te8 0.8671 0.8671 0.2525

Most intense lines, 2θ = 10–80°, by angle:
- 2θ = 23.76°, intensity 100
- 2θ = 24.09°, intensity 28
- 2θ = 26.35°, intensity 45
- 2θ = 28.09°, intensity 77
- 2θ = 29.66°, intensity 52
- 2θ = 30.35°, intensity 28
- 2θ = 33.38°, intensity 29
- 2θ = 34.03°, intensity 32
- 2θ = 36.47°, intensity 51
- 2θ = 40.53°, intensity 74
- 2θ = 40.89°, intensity 33
- 2θ = 42.05°, intensity 66

---

Diffraction record for TlSb2Te. The powder X-ray diffraction pattern is theoretical, not measured: it uses a crystal structure in Alexandria, relaxed with GGA-PBE and Cu Kα (weighted mean of Kα1 and Kα2).
Neutral-atom scattering factors, no anomalous dispersion.

a b c (Å): 7.0679 7.0679 5.7379
angles (deg): 113.36 113.36 28.24
Fractional positions:
Tl1 0.0000 0.0000 0.0000
Sb1 0.2555 0.2555 0.2547
Sb2 0.7445 0.7445 0.7453
Te1 0.5000 0.5000 0.5000

Most intense lines, 2θ = 10–80°, by angle:
- 2θ = 28.54°, intensity 58
- 2θ = 30.24°, intensity 100
- 2θ = 31.18°, intensity 46
- 2θ = 41.94°, intensity 41
- 2θ = 42.18°, intensity 40
- 2θ = 42.53°, intensity 20
- 2θ = 43.01°, intensity 19
- 2θ = 54.89°, intensity 19
- 2θ = 61.40°, intensity 13
- 2θ = 62.75°, intensity 12
- 2θ = 62.88°, intensity 12
- 2θ = 67.97°, intensity 14